# 1
Simulated X-ray powder pattern of Cd2Sn2Pt for Cu Kα (λ = 1.5418 Å), from a structure optimized by DFT (PBE).

Most intense lines, 10° ≤ 2θ ≤ 90°, most intense first:
hkl 2 1 1, d = 2.646 Å, I 100; hkl 3 1 0, d = 2.211 Å, I 51; hkl 3 1 2, d = 1.651 Å, I 38; hkl 0 0 2, d = 2.482 Å, I 36; hkl 2 0 1, d = 2.858 Å, I 26; hkl 1 1 1, d = 3.503 Å, I 22; hkl 0 0 1, d = 4.962 Å, I 21; hkl 3 1 1, d = 2.020 Å, I 17; hkl 2 1 3, d = 1.463 Å, I 16; hkl 4 1 1, d = 1.605 Å, I 15

Cell and atoms:
a b c (Å): 6.992 6.992 4.965
angles (deg): 90.00 90.00 90.00
Space group P4/mbm (No. 127)
Unique sites:
Cd: 0.168 0.332 0.000
Sn: 0.151 0.651 0.500
Pt: 0.000 0.000 0.500



# 2
Simulated X-ray powder pattern of Cu2ReSe4 for Cu Kα (λ = 1.5418 Å), from a structure optimized by DFT (PBE).

Most intense lines, 10° ≤ 2θ ≤ 90°, most intense first:
hkl 1 1 1, d = 3.219 Å, I 100; hkl 2 0 2, d = 1.990 Å, I 100; hkl 0 0 1, d = 5.804 Å, I 92; hkl 1 0 0, d = 5.470 Å, I 75; hkl 2 0 1, d = 2.474 Å, I 55; hkl 1 0 1, d = 3.981 Å, I 54; hkl 2 2 0, d = 1.934 Å, I 53; hkl 4 2 2, d = 1.127 Å, I 30; hkl 2 1 1, d = 2.254 Å, I 27; hkl 3 1 1, d = 1.658 Å, I 27

Cell and atoms:
a b c (Å): 5.470 5.470 5.804
angles (deg): 90.00 90.00 90.00
Space group P-42m (No. 111)
Unique sites:
Cu: 0.000 0.500 0.000
Re: 0.000 0.000 0.000
Se: 0.238 0.238 0.258